[1]
Computed X-ray diffraction stick pattern
Compound: SnSe
Radiation: Cu Kα
Structure: DFT lattice parameters and positions (GGA-PBE)

Crystal structure
```
data_SnSe
_chemical_formula_sum 'Sn4 Se4'
_symmetry_space_group_name_H-M 'P n m a'
_symmetry_Int_Tables_number 62
_cell_length_a 11.790
_cell_length_b 4.219
_cell_length_c 4.524
_cell_angle_alpha 90.00
_cell_angle_beta 90.00
_cell_angle_gamma 90.00
loop_
_symmetry_equiv_pos_as_xyz
'x,y,z'
'-x,-y,-z'
'-x+1/2,-y,z+1/2'
'x+1/2,y,-z+1/2'
'x+1/2,-y+1/2,-z+1/2'
'-x+1/2,y+1/2,z+1/2'
'-x,y+1/2,-z'
'x,-y+1/2,z'
loop_
_atom_site_label
_atom_site_fract_x
_atom_site_fract_y
_atom_site_fract_z
Sn1 0.122 0.250 0.100
Se1 0.145 0.750 0.514
```

Principal peaks in the range 2θ from 10° to 80°, sorted by position:
| (hkl) | 2θ/deg | d/Å | intensity |
| --- | --- | --- | --- |
| 2 0 1 | 24.81 | 3.589 | 19 |
| 0 1 1 | 28.94 | 3.086 | 19 |
| 1 1 1 | 29.93 | 2.985 | 100 |
| 4 0 0 | 30.32 | 2.947 | 51 |
| 3 1 1 | 37.04 | 2.427 | 37 |
| 1 0 2 | 40.61 | 2.221 | 11 |
| 4 1 1 | 42.41 | 2.131 | 14 |
| 0 2 0 | 42.87 | 2.110 | 23 |
| 5 1 1 | 48.60 | 1.874 | 30 |
| 4 2 0 | 53.41 | 1.716 | 21 |

[2]
Computed X-ray diffraction stick pattern
Compound: Er3Sb4Pd8
Radiation: Cu Kα
Structure: DFT lattice parameters and positions (GGA-PBE)

Crystal structure
```
data_Er3Sb4Pd8
_chemical_formula_sum 'Er24 Sb32 Pd64'
_symmetry_space_group_name_H-M 'F m -3 m'
_symmetry_Int_Tables_number 225
_symmetry_space_group_name_Hall '-F 4 2 3'
_cell_length_a 13.257
_cell_length_b 13.257
_cell_length_c 13.257
_cell_angle_alpha 90.00
_cell_angle_beta 90.00
_cell_angle_gamma 90.00
loop_
_atom_site_label
_atom_site_fract_x
_atom_site_fract_y
_atom_site_fract_z
Er1 0.000 0.000 0.224
Sb1 0.000 0.000 0.000
Sb2 0.000 0.000 0.500
Sb3 0.000 0.250 0.250
Pd1 0.119 0.119 0.381
Pd2 0.166 0.166 0.166
```

Principal peaks in the range 2θ from 10° to 80°, sorted by position:
| (hkl) | 2θ/deg | d/Å | intensity |
| --- | --- | --- | --- |
| 4 2 0 | 30.15 | 2.964 | 9 |
| 4 2 2 | 33.10 | 2.706 | 8 |
| 3 3 3 | 35.18 | 2.551 | 34 |
| 4 4 0 | 38.41 | 2.343 | 100 |
| 5 3 1 | 40.25 | 2.241 | 7 |
| 6 0 0 | 40.84 | 2.209 | 7 |
| 8 0 0 | 55.45 | 1.657 | 9 |
| 9 3 1 | 67.39 | 1.390 | 9 |
| 8 4 4 | 69.47 | 1.353 | 21 |
| 9 5 1 | 73.96 | 1.282 | 8 |

[3]
Computed X-ray diffraction stick pattern
Compound: Li2YPCO7
Radiation: Cu Kα
Structure: DFT lattice parameters and positions (GGA-PBE)

Crystal structure
```
data_Li2YPCO7
_chemical_formula_sum 'Li4 Y2 P2 C2 O14'
_symmetry_space_group_name_H-M 'P 1 21/m 1'
_symmetry_Int_Tables_number 11
_cell_length_a 4.915
_cell_length_b 6.806
_cell_length_c 9.086
_cell_angle_alpha 90.00
_cell_angle_beta 93.09
_cell_angle_gamma 90.00
loop_
_symmetry_equiv_pos_as_xyz
'x,y,z'
'-x,-y,-z'
'-x,y+1/2,-z'
'x,-y+1/2,z'
loop_
_atom_site_label
_atom_site_fract_x
_atom_site_fract_y
_atom_site_fract_z
Li1 0.201 0.021 0.298
Y1 0.255 0.250 0.863
P1 0.276 0.750 0.907
C1 0.260 0.250 0.560
O1 0.026 0.250 0.623
O2 0.139 0.566 0.838
O3 0.245 0.750 0.080
O4 0.276 0.250 0.420
O5 0.411 0.250 0.109
O6 0.479 0.250 0.650
```

Principal peaks in the range 2θ from 10° to 80°, sorted by position:
| (hkl) | 2θ/deg | d/Å | intensity |
| --- | --- | --- | --- |
| 0 1 1 | 16.28 | 5.445 | 59 |
| 1 0 -1 | 20.10 | 4.418 | 45 |
| 1 0 1 | 21.04 | 4.223 | 31 |
| 1 1 0 | 22.33 | 3.981 | 48 |
| 1 0 -2 | 26.02 | 3.425 | 55 |
| 0 2 0 | 26.19 | 3.403 | 100 |
| 1 0 2 | 27.48 | 3.245 | 31 |
| 1 2 -1 | 33.23 | 2.696 | 23 |
| 0 0 4 | 39.74 | 2.268 | 33 |
| 0 2 4 | 48.21 | 1.887 | 23 |

[4]
Computed X-ray diffraction stick pattern
Compound: NaGaBP2H3O10
Radiation: Cu Kα
Structure: DFT lattice parameters and positions (GGA-PBE)

Crystal structure
```
data_NaGaBP2H3O10
_chemical_formula_sum 'Na4 Ga4 B4 P8 H12 O40'
_symmetry_space_group_name_H-M 'C 1 2/c 1'
_symmetry_Int_Tables_number 15
_cell_length_a 10.601
_cell_length_b 8.238
_cell_length_c 9.210
_cell_angle_alpha 90.00
_cell_angle_beta 116.46
_cell_angle_gamma 90.00
loop_
_symmetry_equiv_pos_as_xyz
'x,y,z'
'-x,-y,-z'
'-x,y,-z+1/2'
'x,-y,z+1/2'
'x+1/2,y+1/2,z'
'-x+1/2,-y+1/2,-z'
'-x+1/2,y+1/2,-z+1/2'
'x+1/2,-y+1/2,z+1/2'
loop_
_atom_site_label
_atom_site_fract_x
_atom_site_fract_y
_atom_site_fract_z
Na1 0.000 0.130 0.250
Ga1 0.250 0.250 0.000
B1 0.000 0.467 0.750
P1 0.227 0.064 0.680
H1 0.008 0.312 0.575
H2 0.250 0.250 0.500
O1 0.062 0.367 0.900
O2 0.108 0.424 0.247
O3 0.166 0.196 0.544
O4 0.176 0.107 0.112
O5 0.178 0.095 0.811
```

Principal peaks in the range 2θ from 10° to 80°, sorted by position:
| (hkl) | 2θ/deg | d/Å | intensity |
| --- | --- | --- | --- |
| 1 1 -1 | 15.13 | 5.856 | 69 |
| 2 0 0 | 18.70 | 4.745 | 100 |
| 1 1 1 | 20.24 | 4.388 | 42 |
| 1 1 -2 | 22.12 | 4.019 | 37 |
| 2 2 -1 | 27.53 | 3.240 | 70 |
| 3 1 0 | 30.26 | 2.953 | 22 |
| 2 2 -2 | 30.53 | 2.928 | 39 |
| 0 2 2 | 30.68 | 2.914 | 92 |
| 1 1 -3 | 31.51 | 2.839 | 33 |
| 3 1 -4 | 41.71 | 2.165 | 27 |